# 1
For LiEr2CdHg4, the GGA-PBE geometry in Alexandria gives the calculated XRD peak list in this record (Cu Kα (λ = 1.5418 Å)).

Top 12 peaks for 10 to 90 degrees two-theta, in order of falling intensity:
two_theta  I (rel.)  h k l
35.77  100  1 1 0
64.32  27  3 0 0
51.49  17  2 0 8
25.09  9  1 0 4
86.82  8  3 1 8
64.14  8  1 0 16
86.67  7  2 1 16
21.68  7  0 0 6
75.90  6  2 2 0
75.69  5  0 2 16
32.74  4  1 0 7
42.21  3  1 1 6

Structure:
Cell: 5.0145 5.0145 24.6511 Å, 90.00 90.00 120.00°
Space group R-3m (No. 166, hexagonal axes)
Inequivalent atoms, fractional coordinates:
Li 0.0000 0.0000 0.0000 (multiplicity 3)
Er 0.0000 0.0000 0.2473 (multiplicity 6)
Cd 0.0000 0.0000 0.5000 (multiplicity 3)
Hg 0.0000 0.0000 0.1191 (multiplicity 6)
Hg 0.0000 0.0000 0.3701 (multiplicity 6)



# 2
For Li3Pm2In3, the GGA-PBE geometry in Alexandria gives the calculated XRD peak list in this record (Cu Kα (λ = 1.5418 Å)).

Top 12 peaks for 10 to 90 degrees two-theta, in order of falling intensity:
two_theta  I (rel.)  h k l
34.64  100  3 0 0
11.39  61  1 0 0
24.30  47  1 1 1
62.09  23  3 3 0
49.80  16  2 2 2
41.94  15  3 1 0
36.57  13  2 0 2
69.48  12  3 0 4
30.44  12  2 1 0
59.49  11  3 2 2
67.08  8  5 0 2
42.78  8  2 2 1

Structure:
Cell: 8.9676 8.9676 6.3476 Å, 90.00 90.00 120.00°
Space group P6_3/mcm (No. 193)
Inequivalent atoms, fractional coordinates:
Li 0.0000 0.2832 0.2500 (multiplicity 6)
Pm 0.3333 0.6667 0.0000 (multiplicity 4)
In 0.0000 0.3702 0.7500 (multiplicity 6)



# 3
For Pa4Ge16Rh3, the GGA-PBE geometry in Alexandria gives the calculated XRD peak list in this record (Cu Kα (λ = 1.5418 Å)).

Top 12 peaks for 10 to 90 degrees two-theta, in order of falling intensity:
two_theta  I (rel.)  h k l
37.59  100  2 0 3
41.42  65  2 2 0
31.25  48  1 1 3
20.37  33  1 1 0
33.04  32  2 0 2
73.01  26  4 2 3
58.63  23  2 2 5
60.01  21  4 0 0
52.79  21  3 1 3
39.59  19  0 0 5
43.27  12  2 0 4
30.03  12  2 0 1

Structure:
Cell: 6.166 6.166 11.382 Å, 90.00 90.00 90.00°
Space group P4/mmm (No. 123)
Inequivalent atoms, fractional coordinates:
Pa 0.000 0.500 0.186 (multiplicity 4)
Ge 0.000 0.000 0.204 (multiplicity 2)
Ge 0.217 0.217 0.000 (multiplicity 4)
Ge 0.249 0.249 0.377 (multiplicity 8)
Ge 0.500 0.500 0.225 (multiplicity 2)
Rh 0.000 0.500 0.500 (multiplicity 2)
Rh 0.500 0.500 0.000 (multiplicity 1)



# 4
For Li8SiO6, the GGA-PBE geometry in Alexandria gives the calculated XRD peak list in this record (Cu Kα (λ = 1.5418 Å)).

Top 12 peaks for 10 to 90 degrees two-theta, in order of falling intensity:
two_theta  I (rel.)  h k l
25.04  100  1 0 2
33.78  61  1 1 1
18.71  58  1 0 0
58.38  43  3 0 0
33.35  41  0 0 4
32.71  36  1 1 0
41.63  19  2 0 2
54.78  17  1 0 6
54.25  17  1 1 5
36.84  16  1 1 2
68.92  14  3 0 4
53.93  13  2 1 2

Structure:
Cell: 5.4757 5.4757 10.7479 Å, 90.00 90.00 120.00°
Space group P6_3cm (No. 185)
Inequivalent atoms, fractional coordinates:
Li 0.0000 0.3081 0.0000 (multiplicity 6)
Li 0.0000 0.3928 0.3592 (multiplicity 6)
Li 0.3333 0.6667 0.1421 (multiplicity 4)
Si 0.0000 0.0000 0.2294 (multiplicity 2)
O 0.0000 0.0000 0.3863 (multiplicity 2)
O 0.0000 0.2872 0.1831 (multiplicity 6)
O 0.3333 0.6667 0.4498 (multiplicity 4)